This entry pairs a crystal structure of CeHfV2O6 with its simulated powder diffraction line list. Radiation: CuKα. Structure: a cell relaxed with GGA+U.
Peak positions follow from Bragg's law for the DFT cell and can differ from measured ones.

Principal peaks in the range 5 to 70 degrees two-theta, sorted by position:
Position (°2θ)	d/Å	I/Imax	(hkl)
22.33	3.981	98	0 1 2
30.79	2.904	100	1 0 4
32.76	2.734	90	1 1 0
40.01	2.253	22	2 0 2
45.58	1.990	39	0 2 4
49.98	1.825	56	2 -1 6
52.64	1.739	19	3 -2 2
57.25	1.609	38	3 -1 4
58.48	1.578	29	3 0 0
66.59	1.404	14	1 0 10

Crystal structure
```
data_CeHfV2O6
_chemical_formula_sum 'Ce3 Hf3 V6 O18'
_symmetry_space_group_name_H-M 'R 3'
_symmetry_Int_Tables_number 146
_symmetry_space_group_name_Hall 'R 3'
_cell_length_a 5.4672
_cell_length_b 5.4672
_cell_length_c 14.7058
_cell_angle_alpha 90.00
_cell_angle_beta 90.00
_cell_angle_gamma 120.00
loop_
_atom_site_label
_atom_site_fract_x
_atom_site_fract_y
_atom_site_fract_z
_atom_site_occupancy
Ce1 0.0000 0.0000 0.0000 1
Hf1 0.0000 0.0000 0.4919 1
V1 0.0000 0.0000 0.2889 1
V2 0.0000 0.0000 0.7919 1
O1 0.0191 0.3502 0.5504 1
O2 0.0300 0.7289 0.3899 1
```